Entry 1:
Structure and theoretical powder diffraction line list of LiRu2N3 (the PBE geometry in Alexandria; Cu Kα (λ = 1.5418 Å)).

Crystal structure
```
LiRu2N3
1.0
5.5069 0.0000 0.0000
0.0000 5.3278 0.0000
-2.6989 0.0000 4.8956
Li Ru N
2 4 6
Direct
0.0178 0.0000 0.3454 Li
0.9822 0.5000 0.6546 Li
0.2964 0.4773 0.2986 Ru
0.3766 0.0536 0.0192 Ru
0.6234 0.5536 0.9808 Ru
0.7036 0.9773 0.7014 Ru
0.0208 0.0977 0.7072 N
0.3183 0.6807 0.0173 N
0.4044 0.1188 0.3766 N
0.5956 0.6188 0.6234 N
0.6817 0.1807 0.9827 N
0.9792 0.5977 0.2928 N
```

The 8 most intense peaks (10 to 90 degrees two-theta), in order of rising 2θ:
2θ (°)	I/Imax	h k l
18.12	43	0 0 1
18.40	91	1 0 0
24.70	66	0 1 1
25.04	58	1 1 -1
31.71	70	1 0 1
33.64	73	0 2 0
36.31	83	1 1 -2
36.74	100	2 1 -1

Entry 2:
Structure and theoretical powder diffraction line list of LiS2N2 (the PBE geometry in Alexandria; Cu Kα (λ = 1.5418 Å)).

Crystal structure
```
LiS2N2
1.0
3.3991 0.0000 0.0000
0.0000 3.3991 0.0000
0.0000 0.0000 5.3282
Li S N
1 2 2
Direct
0.0000 0.0000 0.0000 Li
0.5000 0.5000 0.0000 S
0.5000 0.5000 0.5000 S
0.0000 0.5000 0.5000 N
0.5000 0.0000 0.5000 N
```

The 8 most intense peaks (10 to 90 degrees two-theta), in order of rising 2θ:
2θ (°)	I/Imax	h k l
16.64	25	0 0 1
26.22	100	1 0 0
33.64	62	0 0 2
37.42	18	1 1 0
43.14	43	1 0 2
53.95	26	2 0 0
65.10	27	2 0 2
71.45	18	2 1 2

Entry 3:
Structure and theoretical powder diffraction line list of Li9S3N (the PBE geometry in Alexandria; Cu Kα (λ = 1.5418 Å)).

Crystal structure
```
Li9S3N
1.0
5.5157 0.0000 0.0000
0.0000 5.5157 0.0000
0.0000 0.0000 5.5157
Li S N
9 3 1
Direct
0.0000 0.0000 0.0000 Li
0.2826 0.2826 0.2826 Li
0.2826 0.2826 0.7174 Li
0.2826 0.7174 0.2826 Li
0.2826 0.7174 0.7174 Li
0.7174 0.2826 0.2826 Li
0.7174 0.2826 0.7174 Li
0.7174 0.7174 0.2826 Li
0.7174 0.7174 0.7174 Li
0.0000 0.0000 0.5000 S
0.0000 0.5000 0.0000 S
0.5000 0.0000 0.0000 S
0.5000 0.5000 0.5000 N
```

The 8 most intense peaks (10 to 90 degrees two-theta), in order of rising 2θ:
2θ (°)	I/Imax	h k l
28.02	100	1 1 1
32.46	27	2 0 0
36.42	12	2 1 0
46.57	62	2 2 0
55.23	33	3 1 1
75.07	14	3 3 1
77.37	9	4 2 0
86.43	16	4 2 2

Entry 4:
Structure and theoretical powder diffraction line list of LiTlSN2 (the PBE geometry in Alexandria; Cu Kα (λ = 1.5418 Å)).

Crystal structure
```
LiTlSN2
1.0
4.1355 0.0000 0.0000
0.0000 4.1355 0.0000
0.0000 0.0000 4.9212
Li Tl S N
1 1 1 2
Direct
0.0000 0.0000 0.0000 Li
0.5000 0.5000 0.5000 Tl
0.0000 0.0000 0.5000 S
0.0000 0.5000 0.0000 N
0.5000 0.0000 0.0000 N
```

The 8 most intense peaks (10 to 90 degrees two-theta), in order of rising 2θ:
2θ (°)	I/Imax	h k l
18.03	82	0 0 1
21.49	69	1 0 0
28.19	83	1 0 1
30.57	51	1 1 0
35.72	100	1 1 1
43.78	30	2 0 0
48.34	30	1 1 2
52.88	31	2 1 1